Computed X-ray diffraction stick pattern of PrNd6Tm2 for Cu Kα (λ = 1.5418 Å), from a DFT-relaxed cell (GGA-PBE, Alexandria).

Main lines, by angle (10 to 90 degrees two-theta):
- (3 1 0), 29.48 deg, d = 3.030 Å, intensity 51
- (0 6 0), 29.67 deg, d = 3.011 Å, intensity 59
- (2 2 -1), 30.49 deg, d = 2.932 Å, intensity 50
- (1 3 1), 31.60 deg, d = 2.832 Å, intensity 100
- (2 4 -1), 35.11 deg, d = 2.556 Å, intensity 30
- (3 5 0), 38.45 deg, d = 2.341 Å, intensity 28
- (3 7 0), 45.91 deg, d = 1.977 Å, intensity 13
- (2 8 -1), 49.94 deg, d = 1.826 Å, intensity 26
- (4 2 1), 51.20 deg, d = 1.784 Å, intensity 12
- (1 9 1), 53.87 deg, d = 1.702 Å, intensity 22
- (5 3 -1), 54.30 deg, d = 1.689 Å, intensity 30
- (2 6 2), 65.96 deg, d = 1.416 Å, intensity 18

Structural model:
Cell lengths 9.3395, 18.0675, 3.6753 Å; angles 90.00, 99.11, 90.00 degrees
Space group C2/m (No. 12)
One atom of each set of equivalent atoms:
Pr  0.0000  0.0000  0.0000 (multiplicity 2)
Nd  0.1662  0.5000  0.3236 (multiplicity 4)
Nd  0.1695  0.3301  0.8215 (multiplicity 8)
Tm  0.0000  0.1661  0.5000 (multiplicity 4)

Computed X-ray diffraction stick pattern of Pr3Nd2Tm5 for Cu Kα (λ = 1.5418 Å), from a DFT-relaxed cell (GGA-PBE, Alexandria).

Main lines, by angle (10 to 90 degrees two-theta):
- (2 4 0), 29.95 deg, d = 2.983 Å, intensity 100
- (2 2 1), 30.71 deg, d = 2.912 Å, intensity 89
- (0 4 2), 31.92 deg, d = 2.804 Å, intensity 19
- (4 0 -2), 33.86 deg, d = 2.647 Å, intensity 42
- (2 6 -1), 37.11 deg, d = 2.423 Å, intensity 15
- (0 0 4), 47.20 deg, d = 1.926 Å, intensity 23
- (0 6 3), 48.71 deg, d = 1.869 Å, intensity 19
- (6 4 -4), 58.18 deg, d = 1.586 Å, intensity 16
- (6 2 -1), 58.63 deg, d = 1.575 Å, intensity 15
- (4 6 1), 60.64 deg, d = 1.527 Å, intensity 20
- (2 10 1), 64.35 deg, d = 1.448 Å, intensity 19
- (2 4 4), 67.28 deg, d = 1.392 Å, intensity 19

Structural model:
Cell lengths 10.5898, 16.3490, 9.3476 Å; angles 90.00, 124.46, 90.00 degrees
Space group C2/c (No. 15)
One atom of each set of equivalent atoms:
Pr  0.0000  0.2332  0.2500 (multiplicity 4)
Pr  0.1490  0.1234  0.0476 (multiplicity 8)
Nd  0.1475  0.3809  0.5459 (multiplicity 8)
Tm  0.0000  0.0257  0.2500 (multiplicity 4)
Tm  0.0000  0.2722  0.7500 (multiplicity 4)
Tm  0.0000  0.4726  0.7500 (multiplicity 4)
Tm  0.2489  0.3871  0.2437 (multiplicity 8)

Computed X-ray diffraction stick pattern of Pr3NdTm3 for Cu Kα (λ = 1.5418 Å), from a DFT-relaxed cell (GGA-PBE, Alexandria).

Main lines, by angle (10 to 90 degrees two-theta):
- (1 2 0), 28.10 deg, d = 3.176 Å, intensity 24
- (0 0 2), 30.89 deg, d = 2.895 Å, intensity 25
- (1 2 1), 32.15 deg, d = 2.785 Å, intensity 100
- (1 2 2), 42.24 deg, d = 2.140 Å, intensity 16
- (4 1 0), 49.72 deg, d = 1.834 Å, intensity 20
- (1 2 3), 55.73 deg, d = 1.649 Å, intensity 21
- (4 1 2), 59.69 deg, d = 1.549 Å, intensity 23
- (2 4 1), 60.45 deg, d = 1.531 Å, intensity 16
- (2 4 2), 67.24 deg, d = 1.392 Å, intensity 4
- (2 4 3), 77.90 deg, d = 1.226 Å, intensity 8
- (7 0 1), 81.97 deg, d = 1.175 Å, intensity 14
- (4 1 4), 85.46 deg, d = 1.136 Å, intensity 8

Structural model:
Cell lengths 9.7027, 9.7027, 5.7903 Å; angles 90.00, 90.00, 120.00 degrees
Space group P6_3/m (No. 176)
One atom of each set of equivalent atoms:
Pr  0.0512  0.8069  0.2500 (multiplicity 6)
Nd  0.3333  0.6667  0.2500 (multiplicity 2)
Tm  0.0959  0.6153  0.7500 (multiplicity 6)

Computed X-ray diffraction stick pattern of Pr3Nd7Tm for Cu Kα (λ = 1.5418 Å), from a DFT-relaxed cell (GGA-PBE, Alexandria).

Main lines, by angle (10 to 90 degrees two-theta):
- (4 0 0), 30.23 deg, d = 2.956 Å, intensity 100
- (1 3 1), 30.53 deg, d = 2.928 Å, intensity 61
- (2 0 2), 32.28 deg, d = 2.773 Å, intensity 41
- (3 3 -1), 36.62 deg, d = 2.454 Å, intensity 37
- (1 3 -3), 49.58 deg, d = 1.839 Å, intensity 16
- (5 3 1), 49.63 deg, d = 1.837 Å, intensity 15
- (0 6 0), 53.14 deg, d = 1.724 Å, intensity 14
- (3 3 3), 56.47 deg, d = 1.629 Å, intensity 13
- (7 3 -1), 61.85 deg, d = 1.500 Å, intensity 15
- (4 6 0), 62.36 deg, d = 1.489 Å, intensity 26
- (8 0 0), 62.88 deg, d = 1.478 Å, intensity 12
- (2 6 2), 63.55 deg, d = 1.464 Å, intensity 11

Structural model:
Cell lengths 11.8526, 10.3428, 6.5582 Å; angles 90.00, 94.36, 90.00 degrees
Space group C2/m (No. 12)
One atom of each set of equivalent atoms:
Pr  0.0000  0.0000  0.0000 (multiplicity 2)
Pr  0.0000  0.1721  0.5000 (multiplicity 4)
Nd  0.0000  0.5000  0.5000 (multiplicity 2)
Nd  0.2413  0.0000  0.7158 (multiplicity 4)
Nd  0.2415  0.3285  0.7618 (multiplicity 8)
Tm  0.0000  0.5000  0.0000 (multiplicity 2)

Computed X-ray diffraction stick pattern of Pr7NdTm3 for Cu Kα (λ = 1.5418 Å), from a DFT-relaxed cell (GGA-PBE, Alexandria).

Main lines, by angle (10 to 90 degrees two-theta):
- (2 0 1), 30.20 deg, d = 2.959 Å, intensity 100
- (0 0 3), 30.86 deg, d = 2.898 Å, intensity 30
- (0 2 2), 35.21 deg, d = 2.549 Å, intensity 66
- (2 2 0), 50.22 deg, d = 1.817 Å, intensity 24
- (2 0 4), 51.08 deg, d = 1.788 Å, intensity 22
- (0 4 1), 59.73 deg, d = 1.548 Å, intensity 14
- (2 2 3), 60.11 deg, d = 1.539 Å, intensity 27
- (0 2 5), 60.87 deg, d = 1.522 Å, intensity 13
- (4 0 2), 62.81 deg, d = 1.479 Å, intensity 12
- (4 2 1), 81.72 deg, d = 1.178 Å, intensity 12
- (2 4 2), 84.44 deg, d = 1.147 Å, intensity 11
- (2 2 6), 85.78 deg, d = 1.133 Å, intensity 9

Structural model:
Cell lengths 7.2672, 7.2672, 8.6930 Å; angles 90.00, 90.00, 120.00 degrees
Space group P3m1 (No. 156)
One atom of each set of equivalent atoms:
Pr  0.0000  0.0000  0.0000 (multiplicity 1)
Pr  0.0003  0.5002  0.0225 (multiplicity 3)
Pr  0.1670  0.3340  0.6637 (multiplicity 3)
Nd  0.6667  0.3333  0.6857 (multiplicity 1)
Tm  0.3337  0.1669  0.3436 (multiplicity 3)

Computed X-ray diffraction stick pattern of PrNd12Tm6 for Cu Kα (λ = 1.5418 Å), from a DFT-relaxed cell (GGA-PBE, Alexandria).

Main lines, by angle (10 to 90 degrees two-theta):
- (1 1 3), 22.75 deg, d = 3.909 Å, intensity 9
- (0 1 5), 30.36 deg, d = 2.944 Å, intensity 39
- (0 3 3), 30.95 deg, d = 2.890 Å, intensity 24
- (1 3 1), 31.24 deg, d = 2.864 Å, intensity 100
- (3 -1 4), 32.46 deg, d = 2.758 Å, intensity 65
- (4 -1 2), 32.87 deg, d = 2.725 Å, intensity 31
- (2 2 3), 34.38 deg, d = 2.609 Å, intensity 17
- (5 -2 4), 44.39 deg, d = 2.041 Å, intensity 12
- (5 2 0), 54.51 deg, d = 1.683 Å, intensity 18
- (6 -5 5), 57.32 deg, d = 1.607 Å, intensity 12
- (7 -2 3), 57.67 deg, d = 1.598 Å, intensity 10
- (2 6 2), 65.20 deg, d = 1.431 Å, intensity 11

Structural model:
Cell lengths 12.1352, 12.1352, 15.3334 Å; angles 90.00, 90.00, 120.00 degrees
Space group R-3 (No. 148, hexagonal axes)
One atom of each set of equivalent atoms:
Pr  0.0000  0.0000  0.0000 (multiplicity 3)
Nd  0.0038  0.8286  0.1925 (multiplicity 18)
Nd  0.0476  0.8494  0.4164 (multiplicity 18)
Tm  0.0147  0.4287  0.6865 (multiplicity 18)

Computed X-ray diffraction stick pattern of Pr4Nd2Tm for Cu Kα (λ = 1.5418 Å), from a DFT-relaxed cell (GGA-PBE, Alexandria).

Main lines, by angle (10 to 90 degrees two-theta):
- (0 0 2), 29.23 deg, d = 3.055 Å, intensity 13
- (1 7 -1), 29.73 deg, d = 3.005 Å, intensity 100
- (0 2 2), 30.14 deg, d = 2.965 Å, intensity 31
- (2 0 -2), 30.94 deg, d = 2.890 Å, intensity 66
- (1 5 1), 31.60 deg, d = 2.832 Å, intensity 30
- (2 2 0), 31.80 deg, d = 2.814 Å, intensity 23
- (1 7 1), 36.39 deg, d = 2.469 Å, intensity 20
- (1 7 -2), 36.43 deg, d = 2.467 Å, intensity 14
- (3 7 -1), 49.65 deg, d = 1.836 Å, intensity 21
- (0 14 1), 54.27 deg, d = 1.690 Å, intensity 22
- (2 14 -1), 59.64 deg, d = 1.550 Å, intensity 14
- (4 14 -3), 81.82 deg, d = 1.177 Å, intensity 10

Structural model:
Cell lengths 6.5609, 24.6269, 6.9322 Å; angles 90.00, 118.18, 90.00 degrees
Space group Cc (No. 9)
One atom of each set of equivalent atoms:
Pr  0.0000  0.0188  0.0000 (multiplicity 4)
Pr  0.0154  0.4446  0.9717 (multiplicity 4)
Pr  0.3707  0.2315  0.7415 (multiplicity 4)
Pr  0.4134  0.1943  0.2690 (multiplicity 4)
Nd  0.3908  0.3387  0.3247 (multiplicity 4)
Nd  0.4362  0.0889  0.9155 (multiplicity 4)
Tm  0.4671  0.3751  0.8702 (multiplicity 4)

Computed X-ray diffraction stick pattern of Pr3Nd2Tm for Cu Kα (λ = 1.5418 Å), from a DFT-relaxed cell (GGA-PBE, Alexandria).

Main lines, by angle (10 to 90 degrees two-theta):
- (0 1 1), 26.28 deg, d = 3.391 Å, intensity 36
- (2 2 0), 27.91 deg, d = 3.197 Å, intensity 100
- (1 0 1), 28.98 deg, d = 3.081 Å, intensity 25
- (0 6 0), 29.66 deg, d = 3.012 Å, intensity 81
- (0 3 1), 29.83 deg, d = 2.995 Å, intensity 70
- (1 2 1), 30.66 deg, d = 2.916 Å, intensity 45
- (2 4 0), 32.86 deg, d = 2.726 Å, intensity 71
- (1 4 1), 35.26 deg, d = 2.546 Å, intensity 35
- (2 3 1), 40.03 deg, d = 2.253 Å, intensity 75
- (2 2 2), 61.01 deg, d = 1.519 Å, intensity 22
- (4 6 0), 62.53 deg, d = 1.485 Å, intensity 33
- (2 4 2), 63.83 deg, d = 1.458 Å, intensity 21

Structural model:
Cell lengths 6.8359, 18.0696, 3.4519 Å; angles 90.00, 90.00, 90.00 degrees
Space group Pnnm (No. 58)
One atom of each set of equivalent atoms:
Pr  0.0000  0.0000  0.0000 (multiplicity 2)
Pr  0.2406  0.3204  0.0000 (multiplicity 4)
Nd  0.2351  0.1490  0.5000 (multiplicity 4)
Tm  0.0000  0.5000  0.0000 (multiplicity 2)

Computed X-ray diffraction stick pattern of Pr7Nd4Tm for Cu Kα (λ = 1.5418 Å), from a DFT-relaxed cell (GGA-PBE, Alexandria).

Main lines, by angle (10 to 90 degrees two-theta):
- (2 0 1), 27.99 deg, d = 3.188 Å, intensity 36
- (2 0 0), 28.59 deg, d = 3.122 Å, intensity 13
- (0 0 3), 29.96 deg, d = 2.982 Å, intensity 49
- (1 2 -1), 30.88 deg, d = 2.896 Å, intensity 100
- (1 2 2), 32.49 deg, d = 2.755 Å, intensity 83
- (1 -2 3), 38.80 deg, d = 2.321 Å, intensity 11
- (3 2 1), 49.15 deg, d = 1.854 Å, intensity 38
- (1 2 -4), 52.72 deg, d = 1.736 Å, intensity 15
- (1 2 5), 55.85 deg, d = 1.646 Å, intensity 17
- (3 2 4), 58.64 deg, d = 1.574 Å, intensity 44
- (4 0 3), 60.17 deg, d = 1.538 Å, intensity 14
- (4 4 0), 80.42 deg, d = 1.194 Å, intensity 13

Structural model:
Cell lengths 6.4172, 7.4189, 9.2024 Å; angles 89.96, 76.48, 89.99 degrees
Space group P-1 (No. 2)
One atom of each set of equivalent atoms:
Pr  0.0000  0.0000  0.0000 (multiplicity 1)
Pr  0.2214  0.5002  0.3323 (multiplicity 2)
Pr  0.2769  0.2508  0.6707 (multiplicity 2)
Pr  0.5003  0.2519  0.0004 (multiplicity 2)
Nd  0.2246  0.0001  0.3329 (multiplicity 2)
Nd  0.2764  0.7488  0.6711 (multiplicity 2)
Tm  0.0000  0.5000  0.0000 (multiplicity 1)

Computed X-ray diffraction stick pattern of Pr4Nd3Tm for Cu Kα (λ = 1.5418 Å), from a DFT-relaxed cell (GGA-PBE, Alexandria).

Main lines, by angle (10 to 90 degrees two-theta):
- (2 2 0), 29.81 deg, d = 2.997 Å, intensity 100
- (4 0 0), 34.55 deg, d = 2.596 Å, intensity 51
- (4 2 2), 49.67 deg, d = 1.836 Å, intensity 36
- (6 2 0), 59.01 deg, d = 1.565 Å, intensity 43
- (4 0 4), 61.91 deg, d = 1.499 Å, intensity 12
- (8 0 0), 72.80 deg, d = 1.299 Å, intensity 2
- (0 4 4), 72.92 deg, d = 1.297 Å, intensity 4
- (6 4 2), 80.66 deg, d = 1.191 Å, intensity 15
- (2 0 6), 80.75 deg, d = 1.190 Å, intensity 3
- (8 2 2), 83.21 deg, d = 1.161 Å, intensity 14
- (0 2 6), 83.31 deg, d = 1.160 Å, intensity 3

Structural model:
Cell lengths 10.3933, 7.3415, 7.3354 Å; angles 90.00, 90.00, 90.00 degrees
Space group Pmna (No. 53)
One atom of each set of equivalent atoms:
Pr  0.0000  0.0000  0.0000 (multiplicity 2)
Pr  0.0000  0.5000  0.5000 (multiplicity 2)
Pr  0.2500  0.2474  0.2500 (multiplicity 4)
Nd  0.0000  0.5000  0.0000 (multiplicity 2)
Nd  0.2500  0.2474  0.7500 (multiplicity 4)
Tm  0.0000  0.0000  0.5000 (multiplicity 2)

Computed X-ray diffraction stick pattern of PrNd10Tm6 for Cu Kα (λ = 1.5418 Å), from a DFT-relaxed cell (GGA-PBE, Alexandria).

Main lines, by angle (10 to 90 degrees two-theta):
- (2 0 1), 24.55 deg, d = 3.627 Å, intensity 8
- (3 -1 1), 30.63 deg, d = 2.919 Å, intensity 34
- (3 0 0), 31.50 deg, d = 2.840 Å, intensity 82
- (1 1 2), 31.64 deg, d = 2.828 Å, intensity 100
- (4 -1 1), 40.33 deg, d = 2.236 Å, intensity 9
- (4 -2 2), 45.25 deg, d = 2.004 Å, intensity 27
- (3 2 1), 48.39 deg, d = 1.881 Å, intensity 12
- (4 1 2), 56.15 deg, d = 1.638 Å, intensity 28
- (2 -1 4), 56.44 deg, d = 1.630 Å, intensity 19
- (6 -2 1), 58.89 deg, d = 1.568 Å, intensity 9
- (6 -1 1), 62.12 deg, d = 1.494 Å, intensity 11
- (2 2 4), 66.08 deg, d = 1.414 Å, intensity 8

Structural model:
Cell lengths 9.8387, 9.8387, 6.9120 Å; angles 90.00, 90.00, 120.00 degrees
Space group P-31m (No. 162)
One atom of each set of equivalent atoms:
Pr  0.0000  0.0000  0.0000 (multiplicity 1)
Nd  0.0000  0.2796  0.3220 (multiplicity 6)
Nd  0.3333  0.6667  0.0000 (multiplicity 2)
Nd  0.3333  0.6667  0.5000 (multiplicity 2)
Tm  0.0000  0.3675  0.8163 (multiplicity 6)

Computed X-ray diffraction stick pattern of Pr6Nd5Tm2 for Cu Kα (λ = 1.5418 Å), from a DFT-relaxed cell (GGA-PBE, Alexandria).

Main lines, by angle (10 to 90 degrees two-theta):
- (1 6 0), 26.38 deg, d = 3.378 Å, intensity 13
- (1 7 0), 30.51 deg, d = 2.930 Å, intensity 100
- (1 4 1), 30.60 deg, d = 2.921 Å, intensity 49
- (3 5 0), 30.98 deg, d = 2.886 Å, intensity 13
- (2 3 1), 31.36 deg, d = 2.853 Å, intensity 89
- (2 4 1), 33.35 deg, d = 2.687 Å, intensity 28
- (3 6 0), 34.10 deg, d = 2.630 Å, intensity 13
- (3 3 1), 35.75 deg, d = 2.511 Å, intensity 35
- (0 0 2), 49.71 deg, d = 1.834 Å, intensity 23
- (1 10 1), 50.40 deg, d = 1.811 Å, intensity 12
- (6 2 1), 53.40 deg, d = 1.716 Å, intensity 11
- (1 7 2), 59.44 deg, d = 1.555 Å, intensity 30

Structural model:
Cell lengths 11.8474, 21.1465, 3.6697 Å; angles 90.00, 90.00, 90.00 degrees
Space group Pbam (No. 55)
One atom of each set of equivalent atoms:
Pr  0.0638  0.0812  0.0000 (multiplicity 4)
Pr  0.0838  0.3684  0.0000 (multiplicity 4)
Pr  0.1732  0.6402  0.5000 (multiplicity 4)
Nd  0.0000  0.5000  0.5000 (multiplicity 2)
Nd  0.0874  0.2277  0.5000 (multiplicity 4)
Nd  0.1963  0.9444  0.5000 (multiplicity 4)
Tm  0.1686  0.7904  0.0000 (multiplicity 4)